# 1
Starting from the GGA-PBE geometry in Alexandria, the powder diffractogram of Cd3Hg8 was simulated for Cu Kα X-rays.

Most intense lines, 2θ from 15° to 90°, low angle first:
d = 3.164 Å, rel. 100, (2 1 1); d = 2.933 Å, rel. 45, (2 -1 3); d = 2.822 Å, rel. 76, (1 2 2); d = 2.580 Å, rel. 27, (1 0 4); d = 2.145 Å, rel. 16, (4 0 1); d = 2.069 Å, rel. 40, (4 -2 3); d = 1.911 Å, rel. 28, (4 1 0); d = 1.807 Å, rel. 12, (1 3 4); d = 1.526 Å, rel. 17, (3 3 3); d = 1.466 Å, rel. 15, (2 2 6)

Crystal structure
Lattice parameters (Å, degrees): 10.1103 10.1103 10.8017 90.00 90.00 120.00
Space group R-3 (No. 148, hexagonal axes)
Asymmetric unit:
Cd 0.0000 0.5000 0.0000 (multiplicity 9)
Hg 0.0000 0.0000 0.3501 (multiplicity 6)
Hg 0.0011 0.7838 0.9023 (multiplicity 18)



# 2
Starting from the GGA-PBE geometry in Alexandria, the powder diffractogram of CdHg4 was simulated for Cu Kα X-rays.

Most intense lines, 2θ from 15° to 90°, low angle first:
d = 2.714 Å, rel. 100, (2 1 1); d = 2.424 Å, rel. 37, (1 3 0); d = 2.222 Å, rel. 14, (0 0 2); d = 1.714 Å, rel. 14, (4 2 0); d = 1.638 Å, rel. 22, (1 3 2); d = 1.449 Å, rel. 30, (5 0 1); d = 1.360 Å, rel. 12, (2 1 3); d = 1.357 Å, rel. 12, (4 2 2); d = 1.212 Å, rel. 4, (2 6 0); d = 1.107 Å, rel. 7, (6 3 1)

Crystal structure
Lattice parameters (Å, degrees): 7.667 7.667 4.444 90.00 90.00 90.00
Space group I4/m (No. 87)
Asymmetric unit:
Cd 0.000 0.000 0.000 (multiplicity 2)
Hg 0.095 0.295 0.500 (multiplicity 8)



# 3
Starting from the GGA-PBE geometry in Alexandria, the powder diffractogram of Cd4Hg was simulated for Cu Kα X-rays.

Most intense lines, 2θ from 15° to 90°, low angle first:
d = 4.121 Å, rel. 23, (2 1 1); d = 3.192 Å, rel. 28, (3 1 0); d = 2.914 Å, rel. 35, (2 2 2); d = 2.698 Å, rel. 42, (3 2 1); d = 2.379 Å, rel. 100, (3 3 0); d = 2.061 Å, rel. 17, (4 2 2); d = 1.683 Å, rel. 21, (6 0 0); d = 1.638 Å, rel. 17, (5 3 2); d = 1.374 Å, rel. 39, (6 3 3); d = 1.243 Å, rel. 15, (7 4 1)

Crystal structure
Lattice parameters (Å, degrees): 10.095 10.095 10.095 90.00 90.00 90.00
Space group I-43m (No. 217)
Asymmetric unit:
Cd 0.000 0.000 0.344 (multiplicity 12)
Cd 0.000 0.250 0.500 (multiplicity 12)
Cd 0.163 0.163 0.163 (multiplicity 8)
Hg 0.171 0.171 0.829 (multiplicity 8)



# 4
Starting from the GGA-PBE geometry in Alexandria, the powder diffractogram of Cd3Hg4 was simulated for Cu Kα X-rays.

Most intense lines, 2θ from 15° to 90°, low angle first:
d = 3.405 Å, rel. 35, (1 2 0); d = 2.990 Å, rel. 40, (2 0 1); d = 2.592 Å, rel. 100, (1 2 1); d = 2.498 Å, rel. 25, (1 3 0); d = 2.401 Å, rel. 16, (3 0 1); d = 1.999 Å, rel. 17, (0 0 2); d = 1.966 Å, rel. 24, (1 4 0); d = 1.836 Å, rel. 13, (3 2 1); d = 1.561 Å, rel. 12, (1 3 2); d = 1.402 Å, rel. 16, (1 4 2)

Crystal structure
Lattice parameters (Å, degrees): 10.4020 10.4020 3.9983 90.00 90.00 120.00
Space group P6_3/m (No. 176)
Asymmetric unit:
Cd 0.0968 0.6195 0.2500 (multiplicity 6)
Hg 0.0439 0.2572 0.2500 (multiplicity 6)
Hg 0.3333 0.6667 0.7500 (multiplicity 2)



# 5
Starting from the GGA-PBE geometry in Alexandria, the powder diffractogram of Cd2Hg5 was simulated for Cu Kα X-rays.

Most intense lines, 2θ from 15° to 90°, low angle first:
d = 2.650 Å, rel. 100, (1 1 0); d = 2.625 Å, rel. 97, (1 0 7); d = 1.865 Å, rel. 36, (0 2 7); d = 1.530 Å, rel. 19, (3 0 0); d = 1.525 Å, rel. 37, (2 1 7); d = 1.511 Å, rel. 18, (0 1 14); d = 1.325 Å, rel. 12, (2 2 0); d = 1.312 Å, rel. 11, (2 0 14); d = 1.183 Å, rel. 17, (1 3 7); d = 1.176 Å, rel. 16, (1 2 14)

Crystal structure
Lattice parameters (Å, degrees): 5.3000 5.3000 22.3972 90.00 90.00 120.00
Space group R-3m (No. 166, hexagonal axes)
Asymmetric unit:
Cd 0.0000 0.0000 0.1419 (multiplicity 6)
Hg 0.0000 0.0000 0.0000 (multiplicity 3)
Hg 0.0000 0.0000 0.2831 (multiplicity 6)
Hg 0.0000 0.0000 0.4293 (multiplicity 6)



# 6
Starting from the GGA-PBE geometry in Alexandria, the powder diffractogram of Cd4Hg3 was simulated for Cu Kα X-rays.

Most intense lines, 2θ from 15° to 90°, low angle first:
d = 3.495 Å, rel. 9, (1 0 3); d = 2.882 Å, rel. 87, (1 1 0); d = 2.369 Å, rel. 100, (1 0 7); d = 2.038 Å, rel. 33, (2 0 0); d = 1.545 Å, rel. 52, (2 1 7); d = 1.441 Å, rel. 11, (2 2 0); d = 1.299 Å, rel. 16, (1 1 14); d = 1.289 Å, rel. 14, (3 1 0); d = 1.231 Å, rel. 12, (3 0 7); d = 1.184 Å, rel. 11, (2 0 14)

Crystal structure
Lattice parameters (Å, degrees): 4.076 4.076 20.374 90.00 90.00 90.00
Space group I4/mmm (No. 139)
Asymmetric unit:
Cd 0.000 0.000 0.071 (multiplicity 4)
Cd 0.000 0.000 0.356 (multiplicity 4)
Hg 0.000 0.000 0.213 (multiplicity 4)
Hg 0.000 0.000 0.500 (multiplicity 2)



# 7
Starting from the GGA-PBE geometry in Alexandria, the powder diffractogram of Cd12Hg17 was simulated for Cu Kα X-rays.

Most intense lines, 2θ from 15° to 90°, low angle first:
d = 3.001 Å, rel. 30, (0 0 4); d = 2.797 Å, rel. 59, (1 1 4); d = 2.749 Å, rel. 32, (4 0 0); d = 2.701 Å, rel. 61, (3 0 3); d = 2.603 Å, rel. 100, (4 1 1); d = 2.591 Å, rel. 29, (3 3 0); d = 2.424 Å, rel. 36, (3 2 3); d = 2.377 Å, rel. 37, (3 3 2); d = 2.273 Å, rel. 36, (4 2 2); d = 1.505 Å, rel. 19, (5 5 2)

Crystal structure
Lattice parameters (Å, degrees): 10.995 10.995 11.992 90.00 90.00 90.00
Space group I-42m (No. 121)
Asymmetric unit:
Cd 0.093 0.286 0.100 (multiplicity 16)
Cd 0.098 0.098 0.294 (multiplicity 8)
Hg 0.000 0.000 0.000 (multiplicity 2)
Hg 0.057 0.362 0.363 (multiplicity 16)
Hg 0.140 0.140 0.554 (multiplicity 8)
Hg 0.159 0.159 0.837 (multiplicity 8)



# 8
Starting from the GGA-PBE geometry in Alexandria, the powder diffractogram of Cd3Hg13 was simulated for Cu Kα X-rays.

Most intense lines, 2θ from 15° to 90°, low angle first:
d = 2.835 Å, rel. 24, (0 0 4); d = 2.675 Å, rel. 100, (2 2 2); d = 2.428 Å, rel. 10, (0 2 4); d = 2.353 Å, rel. 18, (0 4 0); d = 1.984 Å, rel. 11, (4 0 0); d = 1.810 Å, rel. 12, (0 4 4); d = 1.625 Å, rel. 8, (4 0 4); d = 1.604 Å, rel. 11, (2 2 6); d = 1.413 Å, rel. 11, (2 6 2); d = 1.337 Å, rel. 8, (4 4 4)

Crystal structure
Lattice parameters (Å, degrees): 7.936 9.410 11.338 90.00 90.00 90.00
Space group Amm2 (No. 38)
Asymmetric unit:
Cd 0.000 0.000 0.000 (multiplicity 2)
Cd 0.273 0.000 0.268 (multiplicity 4)
Hg 0.000 0.000 0.495 (multiplicity 2)
Hg 0.000 0.222 0.209 (multiplicity 4)
Hg 0.217 0.000 0.748 (multiplicity 4)
Hg 0.250 0.243 0.966 (multiplicity 8)
Hg 0.500 0.000 0.033 (multiplicity 2)
Hg 0.500 0.000 0.505 (multiplicity 2)
Hg 0.500 0.229 0.726 (multiplicity 4)



# 9
Starting from the GGA-PBE geometry in Alexandria, the powder diffractogram of Cd5Hg was simulated for Cu Kα X-rays.

Most intense lines, 2θ from 15° to 90°, low angle first:
d = 2.607 Å, rel. 100, (1 3 1); d = 2.314 Å, rel. 18, (0 6 0); d = 2.242 Å, rel. 16, (2 0 0); d = 2.221 Å, rel. 16, (0 0 2); d = 1.610 Å, rel. 11, (2 6 0); d = 1.602 Å, rel. 11, (0 6 2); d = 1.386 Å, rel. 13, (1 9 1); d = 1.355 Å, rel. 12, (3 3 1); d = 1.345 Å, rel. 12, (1 3 3); d = 1.304 Å, rel. 11, (2 6 2)

Crystal structure
Lattice parameters (Å, degrees): 4.484 13.881 4.443 90.00 90.00 90.00
Space group Cmmm (No. 65)
Asymmetric unit:
Cd 0.000 0.000 0.000 (multiplicity 2)
Cd 0.000 0.169 0.500 (multiplicity 4)
Cd 0.000 0.333 0.000 (multiplicity 4)
Hg 0.000 0.500 0.500 (multiplicity 2)



# 10
Starting from the GGA-PBE geometry in Alexandria, the powder diffractogram of Cd4Hg3 was simulated for Cu Kα X-rays.

Most intense lines, 2θ from 15° to 90°, low angle first:
d = 2.595 Å, rel. 100, (0 1 7); d = 2.582 Å, rel. 99, (1 0 7); d = 2.535 Å, rel. 94, (1 1 0); d = 1.870 Å, rel. 19, (0 0 14); d = 1.801 Å, rel. 17, (0 2 0); d = 1.785 Å, rel. 16, (2 0 0); d = 1.505 Å, rel. 37, (1 1 14); d = 1.477 Å, rel. 35, (1 2 7); d = 1.470 Å, rel. 34, (2 1 7); d = 1.297 Å, rel. 11, (0 2 14)

Crystal structure
Lattice parameters (Å, degrees): 3.570 3.602 26.183 90.00 90.00 90.00
Space group Immm (No. 71)
Asymmetric unit:
Cd 0.000 0.000 0.072 (multiplicity 4)
Cd 0.000 0.000 0.215 (multiplicity 4)
Hg 0.000 0.000 0.357 (multiplicity 4)
Hg 0.000 0.000 0.500 (multiplicity 2)



# 11
Starting from the GGA-PBE geometry in Alexandria, the powder diffractogram of Cd2Hg13 was simulated for Cu Kα X-rays.

Most intense lines, 2θ from 15° to 90°, low angle first:
d = 4.482 Å, rel. 67, (0 2 1); d = 3.506 Å, rel. 45, (1 0 4); d = 2.944 Å, rel. 44, (0 2 4); d = 2.658 Å, rel. 100, (3 0 3); d = 2.587 Å, rel. 32, (2 1 4); d = 2.565 Å, rel. 79, (1 3 1); d = 2.542 Å, rel. 53, (2 0 5); d = 2.241 Å, rel. 48, (0 4 2); d = 1.994 Å, rel. 35, (4 0 4); d = 1.962 Å, rel. 36, (0 2 7)

Crystal structure
Lattice parameters (Å, degrees): 10.8374 10.8374 15.1193 90.00 90.00 120.00
Space group R-3m (No. 166, hexagonal axes)
Asymmetric unit:
Cd 0.0000 0.0000 0.2107 (multiplicity 6)
Hg 0.0000 0.0000 0.0000 (multiplicity 3)
Hg 0.0475 0.5237 0.7778 (multiplicity 18)
Hg 0.0975 0.1949 0.3824 (multiplicity 18)



# 12
Starting from the GGA-PBE geometry in Alexandria, the powder diffractogram of CdHg6 was simulated for Cu Kα X-rays.

Most intense lines, 2θ from 15° to 90°, low angle first:
d = 2.941 Å, rel. 100, (2 0 1); d = 2.795 Å, rel. 55, (1 1 3); d = 2.750 Å, rel. 41, (0 0 4); d = 2.650 Å, rel. 50, (2 1 1); d = 2.445 Å, rel. 66, (2 1 2); d = 2.346 Å, rel. 51, (2 0 3); d = 2.158 Å, rel. 32, (2 2 0); d = 1.580 Å, rel. 37, (3 1 4); d = 1.430 Å, rel. 23, (4 1 2); d = 1.397 Å, rel. 27, (2 0 7)

Crystal structure
Lattice parameters (Å, degrees): 6.104 6.104 11.001 90.00 90.00 90.00
Space group P4/nbm (No. 125, origin choice 2)
Asymmetric unit:
Cd 0.250 0.750 0.000 (multiplicity 2)
Hg 0.066 0.566 0.361 (multiplicity 8)
Hg 0.250 0.250 0.139 (multiplicity 4)



# 13
Starting from the GGA-PBE geometry in Alexandria, the powder diffractogram of Cd3Hg was simulated for Cu Kα X-rays.

Most intense lines, 2θ from 15° to 90°, low angle first:
d = 2.619 Å, rel. 100, (1 0 4); d = 2.603 Å, rel. 33, (0 0 12); d = 2.265 Å, rel. 66, (0 1 8); d = 1.605 Å, rel. 22, (1 1 0); d = 1.598 Å, rel. 22, (1 0 16); d = 1.369 Å, rel. 13, (0 2 4); d = 1.366 Å, rel. 25, (1 1 12); d = 1.362 Å, rel. 13, (0 1 20); d = 1.310 Å, rel. 11, (2 0 8); d = 1.132 Å, rel. 7, (0 2 16)

Crystal structure
Lattice parameters (Å, degrees): 3.2103 3.2103 31.2369 90.00 90.00 120.00
Space group R-3m (No. 166, hexagonal axes)
Asymmetric unit:
Cd 0.0000 0.0000 0.0000 (multiplicity 3)
Cd 0.0000 0.0000 0.2505 (multiplicity 6)
Hg 0.0000 0.0000 0.5000 (multiplicity 3)